The following is a simulated powder XRD pattern of Li6Tl3Zn. It was derived from a DFT-relaxed cell (PBE, Alexandria), using copper Kα.
Kinematic intensities with the Lorentz-polarization factor, no thermal factor.

Most intense lines, 2θ = 15–90°, by intensity:
2θ = 26.41°, rel. 100.0
2θ = 37.92°, rel. 66.6
2θ = 26.81°, rel. 48.2
2θ = 38.02°, rel. 46.7
2θ = 37.51°, rel. 26.8
2θ = 16.43°, rel. 23.7

Cell and atoms:
Cell lengths 8.2072, 4.7533, 10.1377 Å; angles 90.00, 106.73, 90.00 degrees
Space group P2_1/m (No. 11)
Unique sites:
Li: 0.0459 0.2500 0.4091
Li: 0.1679 0.7500 0.1948
Li: 0.2685 0.2500 0.0094
Li: 0.3491 0.2500 0.3119
Li: 0.3617 0.7500 0.8074
Li: 0.4488 0.2500 0.6239
Tl: 0.0427 0.7500 0.8970
Tl: 0.1495 0.2500 0.7077
Tl: 0.2731 0.7500 0.4931
Zn: 0.4520 0.7500 0.0864


The following is a simulated powder XRD pattern of Zn2Cd5F12. It was derived from a DFT-relaxed cell (PBE, Alexandria), using copper Kα.
Kinematic intensities with the Lorentz-polarization factor, no thermal factor.

Most intense lines, 2θ = 15–90°, by intensity:
2θ = 26.01°, rel. 100.0
2θ = 28.26°, rel. 92.2
2θ = 49.72°, rel. 20.1
2θ = 43.99°, rel. 19.4
2θ = 32.57°, rel. 18.6
2θ = 53.46°, rel. 18.6

Cell and atoms:
Cell lengths 12.8884, 6.2129, 7.3356 Å; angles 90.00, 107.13, 90.00 degrees
Space group C2/m (No. 12)
Unique sites:
Zn: 0.0000 0.2460 0.0000
Cd: 0.0000 0.0000 0.5000
Cd: 0.1945 0.5000 0.8305
Cd: 0.2005 0.5000 0.3697
F: 0.0001 0.0000 0.1870
F: 0.0009 0.5000 0.8092
F: 0.1447 0.2445 0.5746
F: 0.1667 0.2691 0.0851


The following is a simulated powder XRD pattern of CrSbTe2. It was derived from a DFT-relaxed cell (PBE, Alexandria), using copper Kα.
Kinematic intensities with the Lorentz-polarization factor, no thermal factor.

Most intense lines, 2θ = 15–90°, by intensity:
2θ = 28.04°, rel. 100.0
2θ = 31.15°, rel. 67.8
2θ = 45.20°, rel. 53.0
2θ = 29.38°, rel. 52.6
2θ = 34.71°, rel. 51.1
2θ = 55.70°, rel. 26.3

Cell and atoms:
Cell lengths 4.0336, 5.1686, 10.3585 Å; angles 90.00, 90.00, 90.00 degrees
Space group Amm2 (No. 38)
Unique sites:
Cr: 0.0000 0.0000 0.0000
Sb: 0.5000 0.0000 0.1768
Te: 0.0000 0.0000 0.5107
Te: 0.5000 0.0000 0.8234


Q: Number 2 is which compound?
A: Zn2Cd5F12